(1)
KV5NiO22: theoretical X-ray diffraction stick pattern (copper Kα), based on a cell relaxed with GGA+U.

Main lines, in order of rising 2θ (2θ = 10–80°):
2θ (°)  I (rel.)
10.1  25
10.3  100
11.9  68
18.7  27
24.0  24
40.2  31

Structural model:
```
KV5NiO22
1.0
9.121 0.000 0.000
3.642 10.243 0.000
2.215 4.057 10.073
K V Ni O
2 10 2 44
Cartesian
2.867 1.620 2.278
12.112 12.680 7.795
2.960 4.357 5.623
3.999 5.942 8.183
3.507 5.751 2.608
4.498 7.222 5.336
4.981 8.558 2.525
9.997 5.742 7.548
10.480 7.078 4.737
11.471 8.549 7.465
10.979 8.358 1.890
12.019 9.943 4.449
7.065 10.748 7.765
7.913 3.552 2.308
3.137 7.701 3.855
3.782 8.921 5.999
3.598 7.774 8.491
3.565 8.846 1.387
4.471 10.077 3.568
5.670 11.096 9.135
6.039 12.172 8.485
3.159 2.891 4.900
4.069 4.396 7.038
4.293 5.493 4.499
3.710 4.232 2.011
6.094 9.811 6.359
4.952 5.592 9.461
5.267 6.713 6.802
4.943 6.704 2.074
5.704 7.872 4.280
6.305 9.162 1.781
6.918 9.007 6.971
8.662 11.066 9.195
8.597 11.165 6.082
8.483 10.697 4.944
9.321 12.088 9.396
5.657 2.212 0.677
6.495 3.603 5.129
6.381 3.135 3.991
6.316 3.233 0.878
8.061 5.293 3.102
8.673 5.138 8.292
9.274 6.428 5.793
10.036 7.596 7.998
9.711 7.586 3.271
10.027 8.708 0.611
8.884 4.489 3.714
11.268 10.068 8.062
10.685 8.807 5.574
10.910 9.904 3.035
11.819 11.409 5.173
8.940 2.127 1.588
9.309 3.204 0.937
10.508 4.223 6.505
11.414 5.454 8.686
11.380 6.526 1.582
11.197 5.379 4.073
11.841 6.599 6.218
```

***

(2)
LiFe2OF5: theoretical X-ray diffraction stick pattern (copper Kα), based on a cell relaxed with GGA+U.

Main lines, in order of rising 2θ (2θ = 10–80°):
2θ (°)  I (rel.)
21.1  58
26.6  100
34.8  38
39.8  37
52.3  31
52.4  33

Structural model:
```
LiFe2OF5
1.0
4.748 0.000 0.000
0.000 4.745 0.000
-4.723 0.000 9.218
Li Fe O F
2 4 2 10
Cartesian
0.000 1.183 0.000
-2.362 3.562 4.609
-0.012 1.238 2.943
-2.374 3.506 7.552
0.163 1.289 6.127
2.524 3.456 1.518
3.833 2.130 1.578
1.471 2.614 6.187
-3.750 0.242 7.638
-1.389 4.503 3.029
-0.864 2.086 4.575
-3.226 2.659 9.184
1.034 0.183 1.592
-1.328 4.561 6.201
-0.897 2.132 7.627
1.465 2.612 3.018
0.920 0.301 4.548
-1.442 4.443 9.157
```

***

(3)
MgMn4Fe2O12: theoretical X-ray diffraction stick pattern (copper Kα), based on a cell relaxed with GGA+U.

Main lines, in order of rising 2θ (2θ = 10–80°):
2θ (°)  I (rel.)
17.5  100
36.2  12
36.4  9
39.8  9
44.2  10
44.5  15

Structural model:
```
MgMn4Fe2O12
1.0
5.098 0.000 0.000
2.546 4.423 0.000
0.124 0.082 10.140
Mg Mn Fe O
1 4 2 12
Cartesian
0.000 0.000 0.000
0.515 0.815 2.671
3.042 2.269 2.566
3.107 0.836 7.697
5.644 2.302 7.696
3.114 3.759 7.312
5.602 3.736 2.658
1.370 2.222 1.593
2.295 3.719 3.588
1.352 0.807 8.673
2.183 2.173 6.676
3.775 3.784 1.533
2.200 0.860 3.563
3.968 2.278 8.660
4.951 3.775 6.672
4.693 2.224 3.566
3.994 0.796 1.546
4.730 0.955 6.665
6.544 3.806 8.677
```

***

(4)
Ba2YMgFe3O8: theoretical X-ray diffraction stick pattern (copper Kα), based on a cell relaxed with GGA+U.

Main lines, in order of rising 2θ (2θ = 10–80°):
2θ (°)  I (rel.)
30.2  100
31.5  54
37.7  20
45.2  38
52.8  25
55.3  35

Structural model:
```
Ba2YMgFe3O8
1.0
4.016 0.000 0.000
0.000 4.016 0.000
0.000 0.000 13.147
Ba Y Mg Fe O
2 1 1 3 8
Cartesian
0.000 0.000 1.901
0.000 0.000 11.246
0.000 0.000 6.574
2.008 2.008 6.574
2.008 2.008 0.000
2.008 2.008 4.170
2.008 2.008 8.978
0.000 2.008 0.000
0.000 2.008 5.255
0.000 2.008 7.892
2.008 0.000 0.000
2.008 0.000 5.255
2.008 0.000 7.892
2.008 2.008 2.227
2.008 2.008 10.920
```

***

(5)
La7SmCrFe7O24: theoretical X-ray diffraction stick pattern (copper Kα), based on a cell relaxed with GGA+U.

Main lines, in order of rising 2θ (2θ = 10–80°):
2θ (°)  I (rel.)
32.1  100
39.6  19
46.0  33
57.2  38
67.1  19
76.4  16

Structural model:
```
La7SmCrFe7O24
1.0
5.576 3.219 4.553
-5.576 3.219 4.553
0.000 -6.438 4.553
La Sm Cr Fe O
7 1 1 7 24
Cartesian
0.000 0.000 0.000
0.000 -3.215 2.274
-2.784 1.608 2.274
-2.784 -1.608 4.548
2.784 1.608 2.274
2.784 -1.608 4.548
0.000 3.215 4.548
0.000 0.000 6.821
0.000 0.000 3.413
0.000 -3.216 5.689
-2.785 1.608 5.689
-2.785 -1.608 7.963
2.785 1.608 5.689
2.785 -1.608 7.963
0.000 3.216 7.963
0.000 0.000 10.237
-1.390 -0.803 2.276
4.183 -0.804 9.103
1.396 4.025 9.103
1.395 0.805 11.379
1.390 -0.803 2.276
-4.183 -0.804 9.103
0.000 1.606 2.276
-2.788 -3.221 9.103
0.000 -1.598 4.556
-1.384 0.799 4.556
-1.387 -2.405 6.824
-2.776 0.002 6.824
1.384 0.799 4.556
1.387 -2.405 6.824
-1.390 2.403 6.824
-1.389 -0.802 9.092
2.776 0.002 6.824
1.390 2.403 6.824
1.389 -0.802 9.092
0.000 1.604 9.092
-1.396 4.025 9.103
-1.395 0.805 11.379
2.788 -3.221 9.103
0.000 -1.611 11.379
```

***

(6)
Cs2NaMoF6: theoretical X-ray diffraction stick pattern (copper Kα), based on a cell relaxed with GGA+U.

Main lines, in order of rising 2θ (2θ = 10–80°):
2θ (°)  I (rel.)
28.0  100
34.4  21
40.0  39
49.5  40
57.8  24
79.5  22

Structural model:
```
Cs2NaMoF6
1.0
0.000 4.511 4.511
4.511 0.000 4.511
4.511 4.511 0.000
Cs Na Mo F
2 1 1 6
Cartesian
2.255 2.255 2.255
6.766 6.766 6.766
0.000 0.000 0.000
4.511 4.511 4.511
4.511 4.511 2.417
4.511 2.417 4.511
6.605 4.511 4.511
2.417 4.511 4.511
4.511 6.605 4.511
4.511 4.511 6.605
```

***

(7)
W3O8: theoretical X-ray diffraction stick pattern (copper Kα), based on a cell relaxed with GGA+U.

Main lines, in order of rising 2θ (2θ = 10–80°):
2θ (°)  I (rel.)
16.5  100
22.7  21
34.9  14
35.6  25
37.6  13
43.7  19

Structural model:
```
W3O8
1.0
5.761 -3.053 0.000
5.761 3.053 0.000
-1.872 0.000 4.778
W O
3 8
Cartesian
0.000 0.000 0.000
4.825 1.298 2.389
4.825 -1.298 2.389
0.347 0.000 1.931
4.481 1.664 0.509
5.169 1.664 4.270
3.367 0.000 2.657
6.284 0.000 2.122
4.481 -1.664 0.509
5.169 -1.664 4.270
9.304 0.000 2.848
```

***

(8)
Li2TiFeO4: theoretical X-ray diffraction stick pattern (copper Kα), based on a cell relaxed with GGA+U.

Main lines, in order of rising 2θ (2θ = 10–80°):
2θ (°)  I (rel.)
18.1  100
35.1  29
42.4  29
42.7  58
61.4  16
62.1  15

Structural model:
```
Li2TiFeO4
1.0
5.187 0.000 0.000
0.000 2.980 0.000
-1.748 0.000 4.953
Li Ti Fe O
2 1 1 4
Cartesian
0.000 0.000 0.000
-0.874 1.490 2.477
1.720 0.000 2.477
2.593 1.490 0.000
0.909 1.490 1.381
0.122 0.000 3.630
3.317 0.000 1.323
2.530 1.490 3.572
```